For Tc4Mo2Os3, a structure optimized by DFT (PBE) gives the computed X-ray diffraction stick pattern in this record (Cu Kα X-rays).
Lines closer than 0.1° are merged.

Atomic structure:
Cell: 5.4054 6.6015 7.9616 Å, 77.38 81.22 78.92°
Element x y z (fractional)
Tc1 0.0050 0.1752 0.3982
Tc2 0.1784 0.5248 0.1980
Tc3 0.3471 0.8321 0.2941
Tc4 0.4311 0.8433 0.9420
Tc5 0.5689 0.1567 0.0580
Tc6 0.6529 0.1679 0.7059
Tc7 0.8216 0.4752 0.8020
Tc8 0.9950 0.8248 0.6018
Mo1 0.2879 0.4967 0.8732
Mo2 0.4950 0.1839 0.3931
Mo3 0.5050 0.8161 0.6069
Mo4 0.7121 0.5033 0.1268
Os1 0.0811 0.1530 0.0565
Os2 0.1579 0.1158 0.7173
Os3 0.2575 0.4817 0.5463
Os4 0.7425 0.5183 0.4537
Os5 0.8421 0.8842 0.2827
Os6 0.9189 0.8470 0.9435

Main lines, low angle first (5° ≤ 2θ ≤ 70°):
two_theta, I/Imax
39.1, 72
40.3, 100
40.5, 32
40.6, 93
40.7, 94
42.7, 88
44.6, 86
52.5, 24



For Tc2Mo2Os5, a structure optimized by DFT (PBE) gives the computed X-ray diffraction stick pattern in this record (Cu Kα X-rays).
Lines closer than 0.1° are merged.

Atomic structure:
Cell: 4.7742 4.7742 8.2740 Å, 106.96 106.96 47.97°
Element x y z (fractional)
Tc1 0.1641 0.1641 0.3897
Tc2 0.8359 0.8359 0.6103
Mo1 0.1676 0.1676 0.0589
Mo2 0.8324 0.8324 0.9411
Os1 0.1635 0.1635 0.7181
Os2 0.4974 0.4974 0.8289
Os3 0.5000 0.5000 0.5000
Os4 0.5026 0.5026 0.1711
Os5 0.8365 0.8365 0.2819

Main lines, low angle first (5° ≤ 2θ ≤ 70°):
two_theta, I/Imax
25.4, 2
40.1, 100
46.5, 16
46.7, 16
46.8, 16
68.0, 11
68.1, 11
68.3, 10



For TcMoOs, a structure optimized by DFT (PBE) gives the computed X-ray diffraction stick pattern in this record (Cu Kα X-rays).
Lines closer than 0.1° are merged.

Atomic structure:
Cell: 6.2632 6.2632 6.2632 Å, 154.61 154.61 36.21°
Element x y z (fractional)
Tc1 0.0000 0.0000 0.0000
Mo1 0.6788 0.6788 0.0000
Os1 0.3493 0.3493 0.0000

Main lines, low angle first (5° ≤ 2θ ≤ 70°):
two_theta, I/Imax
14.9, 19
33.4, 7
39.9, 100
45.7, 16
46.7, 32
50.7, 6
67.4, 20
68.1, 10



For TeMo3Os, a structure optimized by DFT (PBE) gives the computed X-ray diffraction stick pattern in this record (Cu Kα X-rays).
Lines closer than 0.1° are merged.

Atomic structure:
Cell: 4.8010 4.8010 4.8010 Å, 90.00 90.00 90.00°
Element x y z (fractional)
Te1 0.0000 0.0000 0.0000
Mo1 0.0000 0.5000 0.5000
Mo2 0.5000 0.0000 0.5000
Mo3 0.5000 0.5000 0.0000
Os1 0.5000 0.5000 0.5000

Main lines, low angle first (5° ≤ 2θ ≤ 70°):
two_theta, I/Imax
18.5, 41
26.3, 62
32.3, 30
37.5, 100
42.1, 20
46.3, 28
54.0, 68
67.6, 23